# CaRe3Br
Computed powder X-ray diffraction pattern, Cu Kα (weighted mean of Kα1 and Kα2). Input: a crystal structure in Alexandria, relaxed with GGA-PBE.
Peak positions follow from Bragg's law for the DFT cell and can differ from measured ones.

Structural model:
Cell lengths 4.6562, 4.6562, 4.6562 Å; angles 90.00, 90.00, 90.00 degrees
Atoms (fractional coordinates):
Ca  0.0000  0.0000  0.0000
Re  0.0000  0.5000  0.5000
Re  0.5000  0.0000  0.5000
Re  0.5000  0.5000  0.0000
Br  0.5000  0.5000  0.5000

Top 10 peaks for 10 to 90 degrees two-theta, sorted by position:
| Position (°2θ) | I_rel | hkl |
| --- | --- | --- |
| 19.1 | 57 | 1 0 0 |
| 33.3 | 100 | 1 1 1 |
| 38.7 | 87 | 2 0 0 |
| 43.5 | 28 | 2 1 0 |
| 55.8 | 60 | 2 2 0 |
| 59.6 | 14 | 3 0 0 |
| 66.6 | 41 | 3 1 1 |
| 70.0 | 20 | 2 2 2 |
| 82.9 | 10 | 4 0 0 |
| 86.1 | 8 | 4 1 0 |